PmCrSb3: calculated PXRD pattern (Cu Kα), based on DFT lattice parameters and positions (PBE).
Kinematic intensities with the Lorentz-polarization factor, no thermal factor.

Main lines, by angle (10° ≤ 2θ ≤ 90°):
2θ = 29.0°, rel. 26, hkl 3 1 1
2θ = 31.7°, rel. 68, hkl 2 2 0
2θ = 32.4°, rel. 43, hkl 2 0 2
2θ = 34.4°, rel. 100, hkl 4 1 1
2θ = 34.5°, rel. 17, hkl 5 0 0
2θ = 35.4°, rel. 21, hkl 3 2 0
2θ = 36.0°, rel. 26, hkl 3 0 2
2θ = 41.3°, rel. 66, hkl 0 2 2
2θ = 55.2°, rel. 26, hkl 4 1 3
2θ = 69.0°, rel. 23, hkl 2 4 2

Structural model:
```
data_PmCrSb3
_cell_length_a 12.990
_cell_length_b 6.260
_cell_length_c 6.109
_cell_angle_alpha 90.00
_cell_angle_beta 90.00
_cell_angle_gamma 90.00
_space_group_name_H-M_alt 'P 1'
_space_group_IT_number 1
loop_
_space_group_symop_operation_xyz
'x,y,z'
loop_
_atom_site_label
_atom_site_type_symbol
_atom_site_fract_x
_atom_site_fract_y
_atom_site_fract_z
_atom_site_occupancy
Pm1 Pm 0.190 0.005 0.250 1
Pm2 Pm 0.190 0.495 0.750 1
Pm3 Pm 0.810 0.505 0.250 1
Pm4 Pm 0.810 0.995 0.750 1
Cr1 Cr 0.405 0.750 0.000 1
Cr2 Cr 0.405 0.750 0.500 1
Cr3 Cr 0.595 0.250 0.000 1
Cr4 Cr 0.595 0.250 0.500 1
Sb1 Sb 0.002 0.750 0.000 1
Sb2 Sb 0.002 0.750 0.500 1
Sb3 Sb 0.278 0.000 0.750 1
Sb4 Sb 0.278 0.500 0.250 1
Sb5 Sb 0.437 0.101 0.250 1
Sb6 Sb 0.437 0.399 0.750 1
Sb7 Sb 0.563 0.601 0.250 1
Sb8 Sb 0.563 0.899 0.750 1
Sb9 Sb 0.722 0.000 0.250 1
Sb10 Sb 0.722 0.500 0.750 1
Sb11 Sb 0.998 0.250 0.000 1
Sb12 Sb 0.998 0.250 0.500 1
```